The following is a theoretical powder XRD pattern of BaCaWF7. It was derived from DFT lattice parameters and positions (GGA+U), using CuKα.
Intensities are scaled so that the largest is 100.

Structure:
```
BaCaWF7
1.0
5.892 0.000 0.000
0.000 11.116 0.000
-0.083 0.000 9.861
Ba Ca W F
4 4 4 28
Cartesian
1.285 1.647 4.674
1.243 3.911 9.605
4.566 7.205 0.256
4.524 9.470 5.186
1.102 6.327 3.516
1.061 10.348 8.446
4.748 0.769 1.415
4.707 4.790 6.345
1.721 7.291 6.925
1.762 9.384 1.995
4.047 1.733 7.866
4.088 3.825 2.936
-0.050 8.279 7.617
-0.008 8.396 2.686
0.464 5.723 1.451
0.422 10.951 6.381
0.887 5.601 5.945
0.929 11.074 1.014
1.113 8.114 5.080
1.154 8.561 0.150
2.212 1.177 8.764
2.253 4.381 3.833
2.384 6.269 8.651
2.426 10.406 3.720
2.782 7.633 2.640
2.741 9.042 7.570
3.068 2.075 2.290
3.027 3.484 7.221
3.383 0.711 6.140
3.425 4.847 1.210
3.556 6.735 6.027
3.597 9.939 1.097
4.655 2.556 9.711
4.696 3.002 4.780
4.880 0.043 8.846
4.922 5.515 3.916
5.387 0.165 3.480
5.345 5.393 8.410
5.817 2.721 7.174
5.859 2.837 2.244
```

Main lines, low angle first (10° ≤ 2θ ≤ 80°):
| index | d [Å] | I/Imax |
| --- | --- | --- |
| 0 2 1 | 4.842 | 36 |
| 0 1 2 | 4.507 | 22 |
| 1 2 -1 | 3.746 | 100 |
| 1 1 -2 | 3.593 | 38 |
| 1 1 2 | 3.566 | 66 |
| 0 1 3 | 3.152 | 25 |
| 1 3 1 | 2.987 | 51 |
| 2 0 0 | 2.946 | 25 |
| 0 3 3 | 2.459 | 32 |
| 3 2 -1 | 1.822 | 27 |